# K2Ge4Pt3
Theoretical X-ray diffraction stick pattern, Cu Kα (weighted mean of Kα1 and Kα2). Input: the GGA-PBE geometry in Alexandria.
Kinematic intensities with the Lorentz-polarization factor, no thermal factor.

Most intense lines, 10 to 90 degrees two-theta, sorted by position:
| index | d (Å) | 2theta | I_rel |
| --- | --- | --- | --- |
| 0 0 2 | 6.387 | 13.87 | 1000 |
| 0 2 0 | 5.229 | 16.95 | 255 |
| 1 1 1 | 4.717 | 18.81 | 421 |
| 2 2 0 | 2.538 | 35.37 | 219 |
| 1 3 3 | 2.446 | 36.74 | 522 |
| 0 4 2 | 2.420 | 37.16 | 304 |
| 2 2 2 | 2.358 | 38.16 | 636 |
| 2 2 4 | 1.987 | 45.66 | 403 |

Cell and atoms:
```
data_K2Ge4Pt3
_chemical_formula_sum 'K8 Ge16 Pt12'
_cell_length_a 5.8047
_cell_length_b 10.4590
_cell_length_c 12.7736
_cell_angle_alpha 90.00
_cell_angle_beta 90.00
_cell_angle_gamma 90.00
_symmetry_space_group_name_H-M 'F m m m'
_symmetry_Int_Tables_number 69
_symmetry_space_group_name_Hall '-F 2 2'
loop_
_atom_site_label
_atom_site_type_symbol
_atom_site_fract_x
_atom_site_fract_y
_atom_site_fract_z
_atom_site_occupancy
K1 K 0.0000 0.0000 0.1325 1
Ge1 Ge 0.0000 0.1773 0.3481 1
Pt1 Pt 0.0000 0.0000 0.5000 1
Pt2 Pt 0.2500 0.2500 0.0000 1
```